# Ba2Tl2Sn3O10
Calculated X-ray diffraction stick pattern, copper Kα. Input: DFT lattice parameters and positions (GGA-PBE).
Kinematic intensities with the Lorentz-polarization factor, no thermal factor.

Structural model:
a = 3.9044 Å, b = 3.9299 Å, c = 19.6436 Å
α = 87.80°, β = 88.83°, γ = 89.86°
Space group P1 (No. 1)
Symmetry-distinct sites (fractional):
1 Ba 0.0000 0.0000 0.0000
2 Ba 0.4416 0.4015 0.4119
3 Tl 0.4993 0.4106 0.1462
4 Tl 0.9832 0.8830 0.2650
5 Sn 0.5052 0.5338 0.8686
6 Sn 0.9203 0.8886 0.5432
7 Sn 0.9704 0.4527 0.7085
8 O 0.0012 0.0402 0.1601
9 O 0.0028 0.5260 0.9023
10 O 0.4238 0.8903 0.5078
11 O 0.4887 0.5190 0.2516
12 O 0.5017 0.5613 0.7659
13 O 0.5044 0.4850 0.0422
14 O 0.5048 0.0272 0.9032
15 O 0.9081 0.8965 0.6455
16 O 0.9240 0.3934 0.5100
17 O 0.9569 0.9013 0.3694

Main lines, in order of falling intensity (2θ = 10–90°):
(hkl)  d/Å  I (rel.)
0 1 -3  3.317  100
1 -1 0  2.768  76
1 0 4  3.086  58
0 1 4  3.125  57
0 0 7  2.803  47
1 0 -4  3.025  41
1 1 1  2.760  38
0 1 -4  3.010  35
1 2 -3  1.676  33
0 2 0  1.963  30
2 0 0  1.952  30
1 0 3  3.383  26

# DyAlGe
Calculated X-ray diffraction stick pattern, copper Kα. Input: DFT lattice parameters and positions (GGA-PBE).
Kinematic intensities with the Lorentz-polarization factor, no thermal factor.

Structural model:
a = 4.0902 Å, b = 10.4360 Å, c = 5.7512 Å
α = 90.00°, β = 90.00°, γ = 90.00°
Space group Cmcm (No. 63)
Symmetry-distinct sites (fractional):
1 Dy 0.0000 0.1893 0.2500
2 Al 0.0000 0.5000 0.0000
3 Ge 0.0000 0.1064 0.7500

Main lines, in order of falling intensity (2θ = 10–90°):
(hkl)  d/Å  I (rel.)
1 3 0  2.650  100
1 1 1  3.175  80
1 1 2  2.295  67
1 3 1  2.407  66
0 4 1  2.376  66
0 0 2  2.876  65
1 1 0  3.808  51
2 0 2  1.666  45
1 3 2  1.949  44
2 0 0  2.045  39
2 4 1  1.550  35
0 2 2  2.518  33

# Lu3Sb5O12
Calculated X-ray diffraction stick pattern, copper Kα. Input: DFT lattice parameters and positions (GGA-PBE).
Kinematic intensities with the Lorentz-polarization factor, no thermal factor.

Structural model:
a = 10.7688 Å, b = 10.7688 Å, c = 10.7688 Å
α = 90.00°, β = 90.00°, γ = 90.00°
Space group I-43m (No. 217)
Symmetry-distinct sites (fractional):
1 Lu 0.0000 0.2500 0.5000
2 Sb 0.0000 0.0000 0.2851
3 Sb 0.2401 0.2401 0.2401
4 O 0.0994 0.3979 0.6021
5 O 0.1399 0.1399 0.6559

Main lines, in order of falling intensity (2θ = 10–90°):
(hkl)  d/Å  I (rel.)
2 2 2  3.109  100
4 4 0  1.904  42
6 2 2  1.623  37
4 0 0  2.692  35
1 1 0  7.615  20
6 6 2  1.235  12
8 4 0  1.204  10
8 4 4  1.099  9
4 4 4  1.554  8
3 2 1  2.878  6
8 0 0  1.346  5
5 4 1  1.662  5

# Rb2MgCu4H5S4O20
Calculated X-ray diffraction stick pattern, copper Kα. Input: DFT lattice parameters and positions (GGA-PBE).
Kinematic intensities with the Lorentz-polarization factor, no thermal factor.

Structural model:
a = 6.5052 Å, b = 8.5581 Å, c = 9.2748 Å
α = 62.58°, β = 87.39°, γ = 87.91°
Space group P1 (No. 1)
Symmetry-distinct sites (fractional):
1 Rb 0.0000 0.0000 0.0000
2 Rb 0.3817 0.9818 0.4755
3 Mg 0.8284 0.9287 0.6148
4 Cu 0.2369 0.4803 0.7516
5 Cu 0.2613 0.5194 0.2145
6 Cu 0.7367 0.4848 0.7576
7 Cu 0.7523 0.4633 0.2345
8 H 0.0549 0.3238 0.1718
9 H 0.4947 0.5075 0.4601
10 H 0.5066 0.3098 0.6914
11 H 0.5342 0.6825 0.2878
12 H 0.9919 0.5139 0.9436
13 S 0.0101 0.2293 0.5649
14 S 0.4934 0.2146 0.0702
15 S 0.5298 0.7519 0.9069
16 S 0.9656 0.7657 0.4344
17 O 0.0226 0.4466 0.1438
18 O 0.0545 0.0341 0.6728
19 O 0.1576 0.6774 0.5179
20 O 0.1909 0.3028 0.4549
21 O 0.3019 0.2688 0.9702
22 O 0.3440 0.7696 0.9985
23 O 0.4874 0.6355 0.8336
24 O 0.4929 0.3045 0.1759
25 O 0.4941 0.0222 0.1695
26 O 0.4946 0.4375 0.6496
27 O 0.5049 0.5566 0.3334
28 O 0.5919 0.9289 0.7667
29 O 0.6839 0.2626 0.9606
30 O 0.7093 0.6901 0.0154
31 O 0.7805 0.7247 0.5577
32 O 0.8210 0.2281 0.4734
33 O 0.9191 0.7167 0.3088
34 O 0.9652 0.3161 0.6670
35 O 0.9812 0.9602 0.3766
36 O 0.9871 0.5513 0.8243

Main lines, in order of falling intensity (2θ = 10–90°):
(hkl)  d/Å  I (rel.)
0 1 -2  3.074  100
0 2 2  3.794  78
0 1 2  4.613  73
1 2 1  3.634  64
-1 2 1  3.513  62
0 4 0  1.897  50
0 1 0  7.592  46
2 -1 0  2.968  44
0 3 2  2.808  42
1 2 -1  2.700  35
-1 1 1  4.822  31
2 1 0  3.006  31

# BeCl2
Calculated X-ray diffraction stick pattern, copper Kα. Input: DFT lattice parameters and positions (GGA-PBE).
Kinematic intensities with the Lorentz-polarization factor, no thermal factor.

Structural model:
a = 5.7379 Å, b = 10.6320 Å, c = 5.2471 Å
α = 90.00°, β = 90.00°, γ = 90.00°
Space group Ibam (No. 72)
Symmetry-distinct sites (fractional):
1 Be 0.0000 0.0000 0.2500
2 Cl 0.1919 0.1035 0.0000

Main lines, in order of falling intensity (2θ = 10–90°):
(hkl)  d/Å  I (rel.)
1 2 1  3.130  100
1 1 0  5.049  33
0 2 0  5.316  17
0 0 2  2.624  15
2 3 1  2.052  12
0 4 0  2.658  11
1 2 3  1.596  10
2 0 0  2.869  10
0 4 2  1.867  10
2 1 1  2.450  9
1 4 1  2.191  9
2 0 2  1.936  9

# GdNi2As2
Calculated X-ray diffraction stick pattern, copper Kα. Input: DFT lattice parameters and positions (GGA-PBE).
Kinematic intensities with the Lorentz-polarization factor, no thermal factor.

Structural model:
a = 4.0531 Å, b = 4.0531 Å, c = 9.9693 Å
α = 90.00°, β = 90.00°, γ = 90.00°
Space group I4/mmm (No. 139)
Symmetry-distinct sites (fractional):
1 Gd 0.0000 0.0000 0.0000
2 Ni 0.0000 0.5000 0.2500
3 As 0.0000 0.0000 0.3707

Main lines, in order of falling intensity (2θ = 10–90°):
(hkl)  d/Å  I (rel.)
1 0 3  2.570  100
1 1 2  2.485  94
2 0 0  2.027  65
2 1 3  1.591  46
1 1 0  2.866  29
1 0 5  1.789  28
3 1 2  1.241  22
2 1 5  1.341  22
2 2 0  1.433  20
1 1 6  1.437  20
3 0 3  1.252  10
1 1 4  1.881  9

# SrAl2Au3
Calculated X-ray diffraction stick pattern, copper Kα. Input: DFT lattice parameters and positions (GGA-PBE).
Kinematic intensities with the Lorentz-polarization factor, no thermal factor.

Structural model:
a = 13.3323 Å, b = 5.4938 Å, c = 7.0227 Å
α = 90.00°, β = 90.00°, γ = 90.00°
Space group Pnma (No. 62)
Symmetry-distinct sites (fractional):
1 Sr 0.0895 0.2500 0.1531
2 Al 0.1509 0.5007 0.6425
3 Au 0.0079 0.7500 0.4030
4 Au 0.1932 0.7500 0.9414
5 Au 0.2178 0.7500 0.3479

Main lines, in order of falling intensity (2θ = 10–90°):
(hkl)  d/Å  I (rel.)
1 1 2  2.888  100
0 2 0  2.747  75
4 1 0  2.850  57
5 1 2  1.981  46
4 1 1  2.641  45
3 0 1  3.755  44
1 1 3  2.126  41
3 2 1  2.218  40
1 2 2  2.136  37
1 0 2  3.396  34
3 0 2  2.755  32
6 1 0  2.060  31

# Pa3H
Calculated X-ray diffraction stick pattern, copper Kα. Input: DFT lattice parameters and positions (GGA-PBE).
Kinematic intensities with the Lorentz-polarization factor, no thermal factor.

Structural model:
a = 6.9104 Å, b = 6.9104 Å, c = 3.8449 Å
α = 90.00°, β = 90.00°, γ = 120.00°
Space group P6_3/mmc (No. 194)
Symmetry-distinct sites (fractional):
1 Pa 0.1892 0.3785 0.2500
2 H 0.3333 0.6667 0.7500

Main lines, in order of falling intensity (2θ = 10–90°):
(hkl)  d/Å  I (rel.)
2 0 1  2.361  100
1 0 1  3.235  54
2 0 0  2.992  33
2 1 0  2.262  29
3 2 1  1.293  20
2 2 0  1.728  19
3 0 1  1.771  19
1 1 0  3.455  16
2 1 2  1.465  15
0 0 2  1.922  15
2 2 2  1.285  14
4 0 1  1.394  13